Starting from the GGA-PBE geometry in Alexandria, the powder X-ray diffraction pattern of TbTcO4F was calculated for Cu Kα.

Top 10 peaks for 2θ = 15–90°, by angle:
d (Å)  2theta  I_rel
4.634  19.2  61
3.605  24.7  100
3.398  26.2  57
3.122  28.6  88
2.889  30.9  49
2.498  36.0  30
2.472  36.3  30
1.975  46.0  32
1.966  46.2  31
1.912  47.6  22

Crystal structure
```
TbTcO4F
1.0
4.820 -3.605 0.000
4.820 3.605 0.000
-1.910 0.000 6.689
Tb Tc O F
2 2 8 2
Cartesian
1.753 0.000 0.608
5.976 0.000 6.081
2.054 0.000 4.726
5.675 0.000 1.963
1.202 1.312 5.682
1.549 0.000 3.058
3.970 0.000 1.577
1.202 -1.312 5.682
6.527 1.312 1.007
3.759 0.000 5.111
6.180 0.000 3.631
6.527 -1.312 1.007
-1.476 0.000 5.520
9.205 0.000 1.169
```

***

Starting from the GGA-PBE geometry in Alexandria, the powder X-ray diffraction pattern of TbTeO4F was calculated for Cu Kα.

Top 10 peaks for 2θ = 15–90°, by angle:
d (Å)  2theta  I_rel
4.535  19.6  55
3.676  24.2  100
3.358  26.5  53
3.165  28.2  88
2.857  31.3  56
2.494  36.0  36
2.479  36.2  29
2.009  45.1  32
1.982  45.8  38
1.923  47.3  19

Crystal structure
```
TbTeO4F
1.0
4.723 -3.676 0.000
4.723 3.676 0.000
-1.968 0.000 6.765
Tb Te O F
2 2 8 2
Cartesian
1.691 0.000 0.754
5.788 0.000 6.011
1.900 0.000 4.794
5.579 0.000 1.970
1.175 1.358 5.830
1.229 0.000 3.101
3.758 0.000 1.843
1.175 -1.358 5.830
6.304 1.358 0.934
3.721 0.000 4.922
6.250 0.000 3.663
6.304 -1.358 0.934
-1.440 0.000 5.633
8.919 0.000 1.131
```